Record 1
Starting from a crystal structure in the Materials Project, relaxed with PBE, the XRD peak list of Zn2SeS was calculated for Cu Kα, 1.54184 Å.
No peak broadening, texture or thermal motion is included.

Structure:
Unit cell a=3.9588 b=3.9588 c=5.5907 alpha=90.00 beta=90.00 gamma=90.00
Space group P-4m2 (No. 115)
Symmetry-distinct sites (fractional):
Zn  0.0000  0.5000  0.2370 (multiplicity 2)
Se  0.0000  0.0000  0.5000 (multiplicity 1)
S  0.5000  0.5000  0.0000 (multiplicity 1)

Most intense lines, 5 to 70 degrees two-theta, low angle first:
| d/Å | 2θ (°) | I/Imax |
| --- | --- | --- |
| 3.959 | 22.46 | 50 |
| 3.231 | 27.61 | 1000 |
| 2.503 | 35.88 | 51 |
| 1.978 | 45.87 | 704 |
| 1.687 | 54.37 | 419 |
| 1.400 | 66.84 | 73 |

Record 2
Starting from a crystal structure in the Materials Project, relaxed with PBE, the XRD peak list of Cs2TlHgI6 was calculated for Cu Kα, 1.54184 Å.
No peak broadening, texture or thermal motion is included.

Structure:
Unit cell a=12.3620 b=12.3620 c=12.3620 alpha=90.00 beta=90.00 gamma=90.00
Space group Fm-3m (No. 225)
Symmetry-distinct sites (fractional):
Cs  0.2500  0.2500  0.2500 (multiplicity 8)
Tl  0.0000  0.0000  0.0000 (multiplicity 4)
Hg  0.0000  0.0000  0.5000 (multiplicity 4)
I  0.0000  0.0000  0.2548 (multiplicity 24)

Most intense lines, 5 to 70 degrees two-theta, low angle first:
| d/Å | 2θ (°) | I/Imax |
| --- | --- | --- |
| 6.181 | 14.33 | 392 |
| 4.371 | 20.32 | 389 |
| 3.569 | 24.95 | 373 |
| 3.090 | 28.89 | 1000 |
| 2.185 | 41.31 | 755 |
| 1.382 | 67.81 | 345 |

Record 3
Starting from a crystal structure in the Materials Project, relaxed with PBE, the XRD peak list of Ba2GdCu3SO6 was calculated for Cu Kα, 1.54184 Å.
No peak broadening, texture or thermal motion is included.

Structure:
Unit cell a=3.8245 b=4.1920 c=12.3333 alpha=90.00 beta=90.00 gamma=90.00
Space group Pmmm (No. 47)
Symmetry-distinct sites (fractional):
Ba  0.0000  0.0000  0.2022 (multiplicity 2)
Gd  0.0000  0.0000  0.5000 (multiplicity 1)
Cu  0.5000  0.5000  0.0000 (multiplicity 1)
Cu  0.5000  0.5000  0.3630 (multiplicity 2)
S  0.5000  0.0000  0.0000 (multiplicity 1)
O  0.0000  0.5000  0.3827 (multiplicity 2)
O  0.5000  0.0000  0.3786 (multiplicity 2)
O  0.5000  0.5000  0.1556 (multiplicity 2)

Most intense lines, 5 to 70 degrees two-theta, low angle first:
| d/Å | 2θ (°) | I/Imax |
| --- | --- | --- |
| 12.333 | 7.17 | 399 |
| 2.935 | 30.45 | 814 |
| 2.825 | 31.67 | 1000 |
| 2.800 | 31.96 | 948 |
| 2.096 | 43.16 | 381 |
| 1.678 | 54.70 | 405 |